(1)
Calculated powder XRD pattern
Compound: HfCo7
Radiation: Cu Ka
Structure: a DFT-relaxed cell (PBE, the Materials Project)
No peak broadening, texture or thermal motion is included.

The 8 most intense peaks (15 to 90 degrees two-theta), in order of falling intensity:
| 2theta | intensity | index |
| --- | --- | --- |
| 43.12 | 100.0 | 2 2 1 |
| 49.44 | 16.1 | 0 4 0 |
| 49.87 | 15.8 | 4 0 0 |
| 51.31 | 15.0 | 0 0 2 |
| 30.43 | 14.2 | 1 1 1 |
| 88.26 | 10.7 | 2 6 1 |
| 88.91 | 10.7 | 6 2 1 |
| 17.07 | 9.8 | 1 1 0 |

Structural model:
a b c (Å): 7.315 7.374 3.561
angles (deg): 90.00 90.00 90.00
Space group Cmmm (No. 65)
Inequivalent atoms, fractional coordinates:
Hf  0.000  0.000  0.000
Co  0.000  0.269  0.500
Co  0.000  0.500  0.000
Co  0.233  0.500  0.500
Co  0.250  0.250  0.000

***

(2)
Calculated powder XRD pattern
Compound: Sm3RuO7
Radiation: Cu Ka
Structure: a DFT-relaxed cell (PBE, the Materials Project)
No peak broadening, texture or thermal motion is included.

The 8 most intense peaks (15 to 90 degrees two-theta), in order of falling intensity:
| 2theta | intensity | index |
| --- | --- | --- |
| 28.88 | 100.0 | 2 0 2 |
| 29.20 | 84.2 | 2 2 0 |
| 48.16 | 43.9 | 4 2 2 |
| 33.89 | 40.5 | 0 2 2 |
| 57.42 | 24.7 | 2 2 4 |
| 33.18 | 20.4 | 4 0 0 |
| 48.28 | 17.9 | 0 0 4 |
| 31.57 | 14.2 | 2 2 1 |

Structural model:
a b c (Å): 10.800 7.423 7.540
angles (deg): 90.00 90.00 90.00
Space group Cmcm (No. 63)
Inequivalent atoms, fractional coordinates:
Sm  0.000  0.000  0.000
Sm  0.222  0.302  0.250
Ru  0.000  0.500  0.000
O  0.000  0.415  0.250
O  0.127  0.312  0.539
O  0.132  0.025  0.250

***

(3)
Calculated powder XRD pattern
Compound: LiSm2Al
Radiation: Cu Ka
Structure: a DFT-relaxed cell (PBE, the Materials Project)
No peak broadening, texture or thermal motion is included.

The 8 most intense peaks (15 to 90 degrees two-theta), in order of falling intensity:
| 2theta | intensity | index |
| --- | --- | --- |
| 34.14 | 100.0 | 2 2 0 |
| 23.96 | 79.8 | 2 0 0 |
| 61.11 | 37.2 | 4 2 2 |
| 55.30 | 32.9 | 4 2 0 |
| 42.14 | 24.3 | 2 2 2 |
| 49.05 | 18.0 | 4 0 0 |
| 82.04 | 16.1 | 6 2 0 |
| 77.02 | 15.5 | 6 0 0 |

Structural model:
a b c (Å): 7.429 7.429 7.429
angles (deg): 90.00 90.00 90.00
Space group Fm-3m (No. 225)
Inequivalent atoms, fractional coordinates:
Li  0.000  0.000  0.000
Sm  0.250  0.250  0.250
Al  0.000  0.000  0.500

***

(4)
Calculated powder XRD pattern
Compound: NaTmO2
Radiation: Cu Ka
Structure: a DFT-relaxed cell (PBE, the Materials Project)
No peak broadening, texture or thermal motion is included.

The 8 most intense peaks (15 to 90 degrees two-theta), in order of falling intensity:
| 2theta | intensity | index |
| --- | --- | --- |
| 17.30 | 100.0 | 1 1 0 |
| 38.65 | 74.0 | 2 4 -1 |
| 32.77 | 58.4 | 0 4 1 |
| 26.15 | 47.2 | 1 3 -1 |
| 36.33 | 43.2 | 0 0 2 |
| 32.16 | 32.2 | 2 0 0 |
| 32.95 | 29.2 | 2 0 -2 |
| 53.56 | 27.1 | 2 4 1 |

Structural model:
a b c (Å): 6.620 13.119 5.881
angles (deg): 90.00 122.77 90.00
Space group C2/c (No. 15)
Inequivalent atoms, fractional coordinates:
Na  0.000  0.056  0.250
Na  0.000  0.181  0.750
Tm  0.000  0.307  0.250
Tm  0.000  0.433  0.750
O  0.203  0.436  0.206
O  0.229  0.312  0.708